The following is a simulated X-ray powder pattern of Ta4TiW3. It was derived from the GGA-PBE geometry in Alexandria, using Cu Kα, 1.54184 Å.
Kinematic intensities with the Lorentz-polarization factor, no thermal factor.

Largest 8 diffraction maxima, low angle first, 2θ = 10–90°:
2θ/deg, intensity, (hkl)
19.31, 2, 0 1 0
21.64, 3, 0 1 1
39.21, 100, 1 1 2
39.27, 20, 0 2 0
56.67, 21, 2 0 0
71.02, 21, 2 0 4
71.15, 21, 2 2 0
84.34, 9, 2 2 4

Atomic structure:
```
data_Ta4TiW3
_chemical_formula_sum 'Ta4 Ti1 W3'
_symmetry_space_group_name_H-M 'P 1'
_symmetry_Int_Tables_number 1
_cell_length_a 3.247
_cell_length_b 4.589
_cell_length_c 9.204
_cell_angle_alpha 90.00
_cell_angle_beta 90.00
_cell_angle_gamma 90.00
loop_
_symmetry_equiv_pos_as_xyz
'x,y,z'
loop_
_atom_site_label
_atom_site_type_symbol
_atom_site_fract_x
_atom_site_fract_y
_atom_site_fract_z
Ta1 Ta 0.000 0.000 0.000
Ta2 Ta 0.000 0.000 0.500
Ta3 Ta 0.000 0.500 0.245
Ta4 Ta 0.000 0.500 0.755
Ti1 Ti 0.500 0.500 0.500
W1 W 0.500 0.000 0.254
W2 W 0.500 0.000 0.746
W3 W 0.500 0.500 0.000
```